Calculated PXRD pattern of CeBePt for λ = 1.5418 Å (Cu Kα), from a structure optimized by DFT (GGA-PBE).
Kinematic intensities with the Lorentz-polarization factor, no thermal factor.

Structure:
```
CeBePt
1.0
4.1325 0.0000 0.0000
-2.0662 3.5788 0.0000
0.0000 0.0000 7.7112
Ce Be Pt
2 2 2
Direct
0.0000 0.0000 0.0000
0.0000 0.0000 0.5000
0.3333 0.6667 0.2500
0.6667 0.3333 0.7500
0.3333 0.6667 0.7500
0.6667 0.3333 0.2500
```

The 8 most intense peaks (2θ from 10° to 80°), in order of rising 2θ:
2θ = 27.5°, I = 79; 2θ = 34.2°, I = 100; 2θ = 43.3°, I = 24; 2θ = 43.8°, I = 50; 2θ = 52.5°, I = 14; 2θ = 56.7°, I = 24; 2θ = 66.3°, I = 30; 2θ = 74.3°, I = 21

Calculated PXRD pattern of Na17Tl11Cd for λ = 1.5418 Å (Cu Kα), from a structure optimized by DFT (GGA-PBE).
Kinematic intensities with the Lorentz-polarization factor, no thermal factor.

Structure:
```
Na17Tl11Cd
1.0
5.9764 -8.4690 0.0000
5.9764 8.4690 0.0000
-5.9638 0.0000 8.4589
Na Tl Cd
17 11 1
Direct
0.0000 0.0000 0.0000
0.0004 0.6601 0.3367
0.0006 0.0006 0.3374
0.2780 0.5860 0.9261
0.3072 0.7197 0.6478
0.3079 0.3079 0.0607
0.3382 0.3382 0.6750
0.4127 0.9993 0.0287
0.4149 0.6920 0.3395
0.5860 0.2780 0.9261
0.5906 0.5906 0.6162
0.6601 0.0004 0.3367
0.6903 0.9972 0.7510
0.6920 0.4149 0.3395
0.7197 0.3072 0.6478
0.9972 0.6903 0.7510
0.9993 0.4127 0.0287
0.1854 0.9961 0.7182
0.1910 0.8111 0.1486
0.1922 0.3828 0.3393
0.3775 0.9964 0.5298
0.3828 0.1922 0.3393
0.6187 0.8088 0.9597
0.6205 0.6205 0.1553
0.8088 0.6187 0.9597
0.8111 0.1910 0.1486
0.9961 0.1854 0.7182
0.9964 0.3775 0.5298
0.8145 0.8145 0.5206
```

The 8 most intense peaks (2θ from 10° to 80°), in order of rising 2θ:
2θ = 10.5°, I = 14; 2θ = 18.2°, I = 100; 2θ = 25.8°, I = 14; 2θ = 31.7°, I = 54; 2θ = 35.2°, I = 69; 2θ = 38.4°, I = 53; 2θ = 45.5°, I = 16; 2θ = 54.2°, I = 19

Calculated PXRD pattern of La6ZnSi2S14 for λ = 1.5418 Å (Cu Kα), from a structure optimized by DFT (GGA-PBE).
Kinematic intensities with the Lorentz-polarization factor, no thermal factor.

Structure:
```
La6ZnSi2S14
1.0
10.3688 0.0000 0.0000
-5.1844 8.9796 0.0000
0.0000 0.0000 5.7846
La Zn Si S
6 1 2 14
Direct
0.0229 0.4563 0.0000
0.3113 0.2117 0.4968
0.4333 0.9771 0.0000
0.5437 0.5667 0.0000
0.7883 0.0995 0.4968
0.9005 0.6887 0.4968
0.6667 0.3333 0.7431
0.0000 0.0000 0.0808
0.3333 0.6667 0.5879
0.0000 0.0000 0.7167
0.0749 0.2176 0.2226
0.1427 0.9251 0.2226
0.1913 0.7427 0.7280
0.2573 0.4486 0.7280
0.3333 0.6667 0.2231
0.4240 0.2497 0.9735
0.5047 0.0899 0.4971
0.5514 0.8087 0.7280
0.5852 0.4953 0.4971
0.7503 0.1743 0.9735
0.7824 0.8573 0.2226
0.8257 0.5760 0.9735
0.9101 0.4148 0.4971
```

The 8 most intense peaks (2θ from 10° to 80°), in order of rising 2θ:
2θ = 18.2°, I = 32; 2θ = 23.0°, I = 48; 2θ = 25.1°, I = 100; 2θ = 36.1°, I = 55; 2θ = 37.0°, I = 38; 2θ = 39.4°, I = 57; 2θ = 41.0°, I = 33; 2θ = 48.2°, I = 31

Calculated PXRD pattern of Sr9In3O2 for λ = 1.5418 Å (Cu Kα), from a structure optimized by DFT (GGA-PBE).
Kinematic intensities with the Lorentz-polarization factor, no thermal factor.

Structure:
```
Sr9In3O2
1.0
7.5224 0.0000 0.0000
-3.7612 6.5146 0.0000
0.0000 0.0000 9.2243
Sr In O
9 3 2
Direct
0.0000 0.5000 0.0000
0.1731 0.3461 0.6764
0.1731 0.8269 0.6764
0.3461 0.1731 0.3236
0.5000 0.0000 0.0000
0.5000 0.5000 0.0000
0.6539 0.8269 0.6764
0.8269 0.1731 0.3236
0.8269 0.6539 0.3236
0.0000 0.0000 0.0000
0.3333 0.6667 0.3368
0.6667 0.3333 0.6632
0.3333 0.6667 0.8346
0.6667 0.3333 0.1654
```

The 8 most intense peaks (2θ from 10° to 80°), in order of rising 2θ:
2θ = 23.6°, I = 3; 2θ = 29.1°, I = 100; 2θ = 33.7°, I = 57; 2θ = 48.4°, I = 40; 2θ = 57.4°, I = 42; 2θ = 60.2°, I = 13; 2θ = 70.8°, I = 6; 2θ = 78.3°, I = 17

Calculated PXRD pattern of DyPaIrS for λ = 1.5418 Å (Cu Kα), from a structure optimized by DFT (GGA-PBE).
Kinematic intensities with the Lorentz-polarization factor, no thermal factor.

Structure:
```
DyPaIrS
1.0
1.9448 1.1228 7.1265
-1.9448 1.1228 7.1265
0.0000 -2.2456 7.1265
Dy Pa Ir S
1 1 1 1
Direct
0.0000 0.0000 0.0000
0.1781 0.1781 0.1781
0.5824 0.5824 0.5824
0.7555 0.7555 0.7555
```

The 8 most intense peaks (2θ from 10° to 80°), in order of rising 2θ:
2θ = 12.4°, I = 47; 2θ = 27.8°, I = 62; 2θ = 33.9°, I = 100; 2θ = 39.8°, I = 44; 2θ = 46.7°, I = 46; 2θ = 50.6°, I = 23; 2θ = 58.9°, I = 21; 2θ = 71.9°, I = 22

Calculated PXRD pattern of HoB4Ru6 for λ = 1.5418 Å (Cu Kα), from a structure optimized by DFT (GGA-PBE).
Kinematic intensities with the Lorentz-polarization factor, no thermal factor.

Structure:
```
HoB4Ru6
1.0
-2.8187 2.8187 4.1271
2.8187 -2.8187 4.1271
2.8187 2.8187 -4.1271
Ho B Ru
1 4 6
Direct
0.0000 0.0000 0.0000
0.2897 0.2897 0.7099
0.4202 0.7103 0.0000
0.5798 0.5798 0.2901
0.7103 0.4202 0.0000
0.0000 0.5000 0.5000
0.0911 0.4705 0.0000
0.4705 0.0911 0.0000
0.5000 0.0000 0.5000
0.5295 0.5295 0.6206
0.9089 0.9089 0.3794
```

The 8 most intense peaks (2θ from 10° to 80°), in order of rising 2θ:
2θ = 19.1°, I = 17; 2θ = 36.3°, I = 17; 2θ = 37.3°, I = 53; 2θ = 38.7°, I = 100; 2θ = 43.9°, I = 19; 2θ = 45.5°, I = 26; 2θ = 49.0°, I = 17; 2θ = 69.7°, I = 16

Calculated PXRD pattern of Ac2TlAu6 for λ = 1.5418 Å (Cu Kα), from a structure optimized by DFT (GGA-PBE).
Kinematic intensities with the Lorentz-polarization factor, no thermal factor.

Structure:
```
Ac2TlAu6
1.0
6.6762 0.0000 0.0000
-3.3381 5.7817 0.0000
0.0000 0.0000 5.7614
Ac Tl Au
2 1 6
Direct
0.3333 0.6667 0.3280
0.6667 0.3333 0.6720
0.0000 0.0000 0.5000
0.1877 0.3755 0.8300
0.1877 0.8123 0.8300
0.3755 0.1877 0.1700
0.6245 0.8123 0.8300
0.8123 0.1877 0.1700
0.8123 0.6245 0.1700
```

The 8 most intense peaks (2θ from 10° to 80°), in order of rising 2θ:
2θ = 31.0°, I = 32; 2θ = 34.7°, I = 100; 2θ = 44.4°, I = 19; 2θ = 49.9°, I = 11; 2θ = 55.0°, I = 17; 2θ = 64.6°, I = 14; 2θ = 66.7°, I = 14; 2θ = 79.6°, I = 11

Calculated PXRD pattern of Th6ScSe12 for λ = 1.5418 Å (Cu Kα), from a structure optimized by DFT (GGA-PBE).
Kinematic intensities with the Lorentz-polarization factor, no thermal factor.

Structure:
```
Th6ScSe12
1.0
6.3773 3.6819 3.9080
-6.3773 3.6819 3.9080
0.0000 -7.3639 3.9080
Th Sc Se
6 1 12
Direct
0.1348 0.8025 0.6332
0.1975 0.3668 0.8652
0.3668 0.8652 0.1975
0.6332 0.1348 0.8025
0.8025 0.6332 0.1348
0.8652 0.1975 0.3668
0.5000 0.5000 0.5000
0.0678 0.6779 0.9278
0.0722 0.9322 0.3221
0.1806 0.4349 0.5297
0.3221 0.0722 0.9322
0.4349 0.5297 0.1806
0.4703 0.8194 0.5651
0.5297 0.1806 0.4349
0.5651 0.4703 0.8194
0.6779 0.9278 0.0678
0.8194 0.5651 0.4703
0.9278 0.0678 0.6779
0.9322 0.3221 0.0722
```

The 8 most intense peaks (2θ from 10° to 80°), in order of rising 2θ:
2θ = 13.9°, I = 29; 2θ = 22.6°, I = 100; 2θ = 22.8°, I = 30; 2θ = 30.2°, I = 25; 2θ = 33.0°, I = 28; 2θ = 37.3°, I = 54; 2θ = 37.5°, I = 50; 2θ = 44.1°, I = 35

Calculated PXRD pattern of Nd2Dy4In for λ = 1.5418 Å (Cu Kα), from a structure optimized by DFT (GGA-PBE).
Kinematic intensities with the Lorentz-polarization factor, no thermal factor.

Structure:
```
Nd2Dy4In
1.0
1.8152 1.0480 19.6231
-1.8152 1.0480 19.6231
0.0000 -2.0960 19.6231
Nd Dy In
2 4 1
Direct
0.1931 0.1931 0.1931
0.8069 0.8069 0.8069
0.0908 0.0908 0.0908
0.2910 0.2910 0.2910
0.7090 0.7090 0.7090
0.9092 0.9092 0.9092
0.0000 0.0000 0.0000
```

The 8 most intense peaks (2θ from 10° to 80°), in order of rising 2θ:
2θ = 28.4°, I = 27; 2θ = 31.9°, I = 33; 2θ = 32.3°, I = 100; 2θ = 33.0°, I = 61; 2θ = 42.1°, I = 19; 2θ = 50.3°, I = 38; 2θ = 60.8°, I = 31; 2θ = 61.0°, I = 19

Calculated PXRD pattern of LaPr2Dy2 for λ = 1.5418 Å (Cu Kα), from a structure optimized by DFT (GGA-PBE).
Kinematic intensities with the Lorentz-polarization factor, no thermal factor.

Structure:
```
LaPr2Dy2
1.0
-2.9539 3.5875 8.2981
2.9539 -3.5875 8.2981
2.9539 3.5875 -8.2981
La Pr Dy
2 4 4
Direct
0.3586 0.1086 0.2500
0.6414 0.8914 0.7500
0.1886 0.6911 0.4975
0.3065 0.3089 0.9975
0.6935 0.6911 0.0025
0.8114 0.3089 0.5025
0.1354 0.8854 0.2500
0.2492 0.4992 0.7500
0.7508 0.5008 0.2500
0.8646 0.1146 0.7500
```

The 8 most intense peaks (2θ from 10° to 80°), in order of rising 2θ:
2θ = 27.1°, I = 47; 2θ = 30.3°, I = 56; 2θ = 30.9°, I = 96; 2θ = 33.4°, I = 100; 2θ = 41.0°, I = 31; 2θ = 50.9°, I = 35; 2θ = 60.3°, I = 41; 2θ = 60.7°, I = 28

Calculated PXRD pattern of TaTiH3 for λ = 1.5418 Å (Cu Kα), from a structure optimized by DFT (GGA-PBE).
Kinematic intensities with the Lorentz-polarization factor, no thermal factor.

Structure:
```
TaTiH3
1.0
2.4632 1.4222 3.9635
-2.4632 1.4222 3.9635
0.0000 -2.8443 3.9635
Ta Ti H
2 2 6
Direct
0.1258 0.1258 0.1258
0.8742 0.8742 0.8742
0.3750 0.3750 0.3750
0.6250 0.6250 0.6250
0.0059 0.4952 0.7447
0.2553 0.5048 0.9941
0.4952 0.7447 0.0059
0.5048 0.9941 0.2553
0.7447 0.0059 0.4952
0.9941 0.2553 0.5048
```

The 8 most intense peaks (2θ from 10° to 80°), in order of rising 2θ:
2θ = 22.1°, I = 58; 2θ = 22.4°, I = 20; 2θ = 36.5°, I = 100; 2θ = 36.9°, I = 97; 2θ = 43.2°, I = 23; 2θ = 52.8°, I = 35; 2θ = 65.7°, I = 18; 2θ = 65.9°, I = 35

Calculated PXRD pattern of K2NpRhS4 for λ = 1.5418 Å (Cu Kα), from a structure optimized by DFT (GGA-PBE).
Kinematic intensities with the Lorentz-polarization factor, no thermal factor.

Structure:
```
K2NpRhS4
1.0
6.2583 0.0000 0.0000
0.0000 3.9706 0.0000
-2.4173 0.0000 7.4032
K Np Rh S
2 1 1 4
Direct
0.0000 0.0000 0.0000
0.5000 0.5000 0.0000
0.0000 0.5000 0.5000
0.5000 0.0000 0.5000
0.2532 0.0000 0.6996
0.2917 0.5000 0.3158
0.7083 0.5000 0.6842
0.7468 0.0000 0.3004
```

The 8 most intense peaks (2θ from 10° to 80°), in order of rising 2θ:
2θ = 12.0°, I = 100; 2θ = 24.0°, I = 26; 2θ = 27.0°, I = 19; 2θ = 27.6°, I = 26; 2θ = 31.5°, I = 66; 2θ = 32.2°, I = 33; 2θ = 39.6°, I = 25; 2θ = 41.7°, I = 25

Calculated PXRD pattern of BaSrCe2O6 for λ = 1.5418 Å (Cu Kα), from a structure optimized by DFT (GGA-PBE).
Kinematic intensities with the Lorentz-polarization factor, no thermal factor.

Structure:
```
BaSrCe2O6
1.0
6.1686 0.0000 0.0000
0.0000 8.7768 0.0000
-0.0058 0.0000 6.2470
Ba Sr Ce O
2 2 4 12
Direct
0.0080 0.2500 0.4660
0.9920 0.7500 0.5340
0.4904 0.2500 0.9624
0.5096 0.7500 0.0376
0.0000 0.0000 0.0000
0.0000 0.5000 0.0000
0.5000 0.0000 0.5000
0.5000 0.5000 0.5000
0.1002 0.7500 0.9862
0.2109 0.0405 0.7107
0.2109 0.4595 0.7107
0.2936 0.0554 0.2056
0.2936 0.4446 0.2056
0.4220 0.7500 0.4503
0.5780 0.2500 0.5497
0.7064 0.5554 0.7944
0.7064 0.9446 0.7944
0.7891 0.5405 0.2893
0.7891 0.9595 0.2893
0.8998 0.2500 0.0138
```

The 8 most intense peaks (2θ from 10° to 80°), in order of rising 2θ:
2θ = 28.6°, I = 24; 2θ = 28.8°, I = 100; 2θ = 28.9°, I = 24; 2θ = 41.1°, I = 39; 2θ = 50.7°, I = 19; 2θ = 51.1°, I = 23; 2θ = 59.6°, I = 15; 2θ = 67.5°, I = 17